Entry 1:
Pr2CoH6Pt: theoretical powder X-ray diffraction pattern (Cu Kα, 1.54184 Å), based on a cell relaxed with PBE.
Lines closer than 0.1° are merged.

Atomic structure:
Cell: 7.1704 7.5615 7.6468 Å, 90.00 90.00 90.00°
Space group Fmmm (No. 69)
One atom of each set of equivalent atoms:
1 Pr 0.2500 0.2500 0.2500 [8 per cell]
2 Co 0.0000 0.0000 0.0000 [4 per cell]
3 H 0.0000 0.0000 0.2160 [8 per cell]
4 H 0.0000 0.2197 0.0000 [8 per cell]
5 H 0.2387 0.0000 0.0000 [8 per cell]
6 Pt 0.0000 0.0000 0.5000 [4 per cell]

Most intense lines, 2θ from 10° to 90°, sorted by position:
index, 2θ (°), I (rel.)
1 1 1, 20.6, 36
0 2 2, 33.3, 100
2 0 2, 34.3, 93
2 2 0, 34.5, 91
0 0 4, 47.6, 19
0 4 0, 48.1, 18
4 0 0, 50.9, 16
2 2 4, 60.1, 37
2 4 2, 60.4, 36
4 2 2, 62.2, 33

---

Entry 2:
DySb6Pd12: theoretical powder X-ray diffraction pattern (Cu Kα, 1.54184 Å), based on a cell relaxed with PBE.
Lines closer than 0.1° are merged.

Atomic structure:
Cell: 12.0936 12.0936 9.0016 Å, 90.00 90.00 120.00°
Space group R-3m (No. 166, hexagonal axes)
One atom of each set of equivalent atoms:
1 Dy 0.0000 0.0000 0.0000 [3 per cell]
2 Sb 0.0603 0.5301 0.2644 [18 per cell]
3 Pd 0.0000 0.3779 0.5000 [18 per cell]
4 Pd 0.0796 0.1592 0.2719 [18 per cell]

Most intense lines, 2θ from 10° to 90°, sorted by position:
index, 2θ (°), I (rel.)
2 1 1, 24.6, 43
1 2 2, 30.1, 43
1 3 1, 32.4, 85
1 1 3, 33.3, 46
3 2 1, 38.8, 76
0 3 3, 39.6, 100
2 3 2, 42.7, 50
0 2 4, 43.8, 56
5 0 2, 47.9, 76
3 5 4, 76.4, 39